Record 1
For RbGdTe4, a DFT-relaxed cell (GGA-PBE, Alexandria) gives the simulated powder diffractogram in this record (Cu Kα X-rays).

```
data_RbGdTe4
_symmetry_space_group_name_H-M 'P 4/n b m'
_symmetry_Int_Tables_number 125
_cell_length_a 6.8853
_cell_length_b 6.8853
_cell_length_c 9.2792
_cell_angle_alpha 90.00
_cell_angle_beta 90.00
_cell_angle_gamma 90.00
loop_
_symmetry_equiv_pos_as_xyz
'x,y,z'
'-x,-y,-z'
'-y+1/2,x,z'
'y+1/2,-x,-z'
'-x+1/2,-y+1/2,z'
'x+1/2,y+1/2,-z'
'y,-x+1/2,z'
'-y,x+1/2,-z'
'x,-y+1/2,-z'
'-x,y+1/2,z'
'-y+1/2,-x+1/2,-z'
'y+1/2,x+1/2,z'
'-x+1/2,y,-z'
'x+1/2,-y,z'
'y,x,-z'
'-y,-x,z'
loop_
_atom_site_label
_atom_site_type_symbol
_atom_site_fract_x
_atom_site_fract_y
_atom_site_fract_z
Rb1 Rb 0.2500 0.2500 0.0000
Gd1 Gd 0.2500 0.2500 0.5000
Te1 Te 0.1042 0.6042 0.2987
```

Most intense lines, 2θ from 10° to 80°, sorted by position:
two_theta  I_rel
26.54  85
28.87  12
30.59  100
32.38  39
34.35  13
34.97  25
41.45  62
49.15  34
57.07  23
58.10  14
60.43  19
66.18  12

=====

Record 2
For Ac3Cd2Rh7, a DFT-relaxed cell (GGA-PBE, Alexandria) gives the simulated powder diffractogram in this record (Cu Kα X-rays).

```
data_Ac3Cd2Rh7
_symmetry_space_group_name_H-M 'R -3 m'
_symmetry_Int_Tables_number 166
_symmetry_space_group_name_Hall '-R 3 2"'
_cell_length_a 5.6547
_cell_length_b 5.6547
_cell_length_c 26.4069
_cell_angle_alpha 90.00
_cell_angle_beta 90.00
_cell_angle_gamma 120.00
loop_
_atom_site_label
_atom_site_type_symbol
_atom_site_fract_x
_atom_site_fract_y
_atom_site_fract_z
Ac1 Ac 0.0000 0.0000 0.0000
Ac2 Ac 0.0000 0.0000 0.1385
Cd1 Cd 0.0000 0.0000 0.3342
Rh1 Rh 0.0000 0.0000 0.5000
Rh2 Rh 0.0032 0.5016 0.9142
```

Most intense lines, 2θ from 10° to 80°, sorted by position:
two_theta  I_rel
29.90  34
31.65  51
32.72  33
36.87  38
37.82  100
39.24  15
40.61  22
41.91  15
55.28  13
60.49  25
62.11  24
66.09  27

=====

Record 3
For Pr6Te5Au, a DFT-relaxed cell (GGA-PBE, Alexandria) gives the simulated powder diffractogram in this record (Cu Kα X-rays).

```
data_Pr6Te5Au
_symmetry_space_group_name_H-M 'C 1 2/m 1'
_symmetry_Int_Tables_number 12
_symmetry_space_group_name_Hall '-C 2y'
_cell_length_a 7.8212
_cell_length_b 13.5200
_cell_length_c 7.8144
_cell_angle_alpha 90.00
_cell_angle_beta 109.50
_cell_angle_gamma 90.00
loop_
_atom_site_label
_atom_site_type_symbol
_atom_site_fract_x
_atom_site_fract_y
_atom_site_fract_z
Pr1 Pr 0.2378 0.0000 0.2539
Pr2 Pr 0.2393 0.1605 0.7395
Te1 Te 0.0000 0.1737 0.0000
Te2 Te 0.0000 0.3354 0.5000
Te3 Te 0.0000 0.5000 0.0000
Au1 Au 0.0000 0.0000 0.5000
```

Most intense lines, 2θ from 10° to 80°, sorted by position:
two_theta  I_rel
12.01  1
13.68  1
15.35  1
27.97  100
36.06  1
39.97  76
49.49  27
57.81  13
65.41  28
65.49  6
72.57  17
72.65  8